The following is a computed PXRD pattern of LiMnP4H4O14. It was derived from a GGA+U-relaxed structure, using copper Kα.

Atomic structure:
Cell lengths 5.2330, 7.1349, 8.0279 Å; angles 91.79, 100.27, 110.19 degrees
Space group P-1 (No. 2)
Asymmetric unit:
1 Li 0.0000 0.0000 0.0000 [1 per cell]
2 Mn 0.5000 0.5000 0.0000 [1 per cell]
3 P 0.0187 0.6257 0.7723 [2 per cell]
4 P 0.4506 0.7804 0.3012 [2 per cell]
5 H 0.1027 0.2123 0.4424 [2 per cell]
6 H 0.3295 0.0294 0.3701 [2 per cell]
7 O 0.0679 0.7707 0.6314 [2 per cell]
8 O 0.0906 0.3035 0.0837 [2 per cell]
9 O 0.2153 0.5762 0.3277 [2 per cell]
10 O 0.2905 0.5873 0.8191 [2 per cell]
11 O 0.3038 0.9379 0.2624 [2 per cell]
12 O 0.3430 0.1594 0.5317 [2 per cell]
13 O 0.4389 0.2544 0.8566 [2 per cell]

Largest 10 diffraction maxima, sorted by position, 2θ from 10° to 90°:
hkl	d [Å]	Position (°2θ)	I_rel
0 1 0	6.663	13.29	78
0 1 -1	5.354	16.56	64
0 1 1	4.848	18.30	27
1 -1 1	3.878	22.93	100
1 1 -1	3.339	26.70	98
-1 1 2	3.251	27.43	85
1 -2 1	3.043	29.35	21
0 2 1	2.962	30.17	38
1 1 1	2.903	30.80	20
1 -1 2	2.864	31.23	20

***

The following is a computed PXRD pattern of Li2Mn3P4H4O16. It was derived from a GGA+U-relaxed structure, using copper Kα.

Atomic structure:
Cell lengths 8.9040, 8.2486, 9.2261 Å; angles 90.00, 99.45, 90.00 degrees
Space group P2_1/c (No. 14)
Asymmetric unit:
1 Li 0.0165 0.1696 0.4720 [4 per cell]
2 Mn 0.3489 0.6391 0.5053 [4 per cell]
3 Mn 0.5000 0.0000 0.5000 [2 per cell]
4 P 0.1751 0.5655 0.7729 [4 per cell]
5 P 0.3826 0.1967 0.2045 [4 per cell]
6 H 0.1107 0.9999 0.7828 [4 per cell]
7 H 0.2761 0.0410 0.7660 [4 per cell]
8 O 0.0402 0.5394 0.8553 [4 per cell]
9 O 0.1393 0.6619 0.6289 [4 per cell]
10 O 0.2145 0.0028 0.8410 [4 per cell]
11 O 0.2176 0.1197 0.2288 [4 per cell]
12 O 0.3139 0.6338 0.8766 [4 per cell]
13 O 0.3419 0.1405 0.6300 [4 per cell]
14 O 0.4520 0.0740 0.1103 [4 per cell]
15 O 0.4803 0.2092 0.3578 [4 per cell]

Largest 10 diffraction maxima, sorted by position, 2θ from 10° to 90°:
hkl	d [Å]	Position (°2θ)	I_rel
1 0 0	8.783	10.07	100
1 1 -1	5.298	16.73	15
1 1 1	4.776	18.58	18
1 1 2	3.447	25.85	19
2 1 1	3.393	26.26	13
1 2 1	3.372	26.43	19
2 1 -2	3.188	27.99	26
1 2 -2	2.990	29.88	23
2 2 1	2.762	32.42	18
3 1 -3	2.219	40.65	13

***

The following is a computed PXRD pattern of Li2MnP4H3O14. It was derived from a GGA+U-relaxed structure, using copper Kα.

Atomic structure:
Cell lengths 4.8724, 7.6082, 16.3893 Å; angles 90.00, 97.79, 90.00 degrees
Space group P2_1/c (No. 14)
Asymmetric unit:
1 Li 0.2128 0.1338 0.1524 [4 per cell]
2 Mn 0.0000 0.0000 0.5000 [2 per cell]
3 P 0.3489 0.5343 0.2009 [4 per cell]
4 P 0.4764 0.2323 0.4458 [4 per cell]
5 H 0.3110 0.6604 0.7457 [4 per cell]
6 H 0.5000 0.0000 0.0000 [2 per cell]
7 O 0.1811 0.2117 0.4678 [4 per cell]
8 O 0.1891 0.6644 0.2461 [4 per cell]
9 O 0.1949 0.1076 0.6485 [4 per cell]
10 O 0.3151 0.6406 0.9893 [4 per cell]
11 O 0.4034 0.5376 0.7357 [4 per cell]
12 O 0.4545 0.5719 0.5620 [4 per cell]
13 O 0.4756 0.1489 0.3580 [4 per cell]

Largest 10 diffraction maxima, sorted by position, 2θ from 10° to 90°:
hkl	d [Å]	Position (°2θ)	I_rel
0 0 2	8.119	10.90	18
0 1 1	6.890	12.85	100
0 1 2	5.552	15.96	29
1 0 0	4.827	18.38	29
0 0 4	4.062	21.88	61
1 1 2	3.486	25.55	28
0 2 2	3.447	25.84	13
1 1 3	3.091	28.89	21
0 1 5	2.987	29.91	21
1 2 -2	2.884	31.01	37

***

The following is a computed PXRD pattern of Li2Mn2P4H3O16. It was derived from a GGA+U-relaxed structure, using copper Kα.

Atomic structure:
Cell lengths 4.8640, 7.3913, 8.2183 Å; angles 92.12, 90.17, 104.44 degrees
Space group P1 (No. 1)
Asymmetric unit:
1 Li 0.0000 0.0000 0.0000 [1 per cell]
2 Li 0.1949 0.2937 0.7269 [1 per cell]
3 Mn 0.1069 0.1522 0.3632 [1 per cell]
4 Mn 0.6015 0.6486 0.8592 [1 per cell]
5 P 0.2287 0.9033 0.7117 [1 per cell]
6 P 0.4832 0.8890 0.2052 [1 per cell]
7 P 0.7233 0.4169 0.5188 [1 per cell]
8 P 0.9828 0.4010 0.0109 [1 per cell]
9 H 0.0376 0.6542 0.4050 [1 per cell]
10 H 0.2836 0.5761 0.2393 [1 per cell]
11 H 0.5661 0.1333 0.8608 [1 per cell]
12 O 0.0978 0.3839 0.1823 [1 per cell]
13 O 0.1535 0.9621 0.5477 [1 per cell]
14 O 0.2298 0.4944 0.8941 [1 per cell]
15 O 0.2591 0.0056 0.1881 [1 per cell]
16 O 0.3444 0.7068 0.2978 [1 per cell]
17 O 0.3552 0.0908 0.8196 [1 per cell]
18 O 0.4436 0.7812 0.6984 [1 per cell]
19 O 0.4746 0.3082 0.4130 [1 per cell]
20 O 0.5802 0.8387 0.0329 [1 per cell]
21 O 0.6136 0.4516 0.6928 [1 per cell]
22 O 0.7370 0.0035 0.3028 [1 per cell]
23 O 0.7675 0.5254 0.0223 [1 per cell]
24 O 0.8394 0.6105 0.4438 [1 per cell]
25 O 0.8564 0.2085 0.9264 [1 per cell]
26 O 0.9544 0.3060 0.5337 [1 per cell]
27 O 0.9726 0.8099 0.8196 [1 per cell]

Largest 10 diffraction maxima, sorted by position, 2θ from 10° to 90°:
hkl	d [Å]	Position (°2θ)	I_rel
0 1 -1	5.501	16.11	67
0 1 1	5.292	16.75	38
0 0 2	4.107	21.64	32
1 -1 1	3.954	22.48	36
0 1 -2	3.622	24.57	40
1 1 0	3.548	25.10	100
1 -2 1	3.065	29.14	55
-1 2 1	3.009	29.69	61
0 2 -2	2.750	32.56	32
0 2 2	2.646	33.88	34

***

The following is a computed PXRD pattern of LiMnP3H8O13. It was derived from a GGA+U-relaxed structure, using copper Kα.

Atomic structure:
Cell lengths 7.1365, 7.7121, 10.0193 Å; angles 84.01, 74.37, 78.17 degrees
Space group P-1 (No. 2)
Asymmetric unit:
1 Li 0.0000 0.0000 0.0000 [1 per cell]
2 Li 0.0000 0.5000 0.5000 [1 per cell]
3 Mn 0.1814 0.1910 0.2380 [2 per cell]
4 P 0.2407 0.8046 0.4775 [2 per cell]
5 P 0.3269 0.8055 0.7428 [2 per cell]
6 P 0.4059 0.5390 0.2691 [2 per cell]
7 H 0.0790 0.2591 0.7955 [2 per cell]
8 H 0.0992 0.6581 0.0849 [2 per cell]
9 H 0.1436 0.3381 0.9885 [2 per cell]
10 H 0.1815 0.1814 0.5697 [2 per cell]
11 H 0.3096 0.3054 0.6018 [2 per cell]
12 H 0.3099 0.8638 0.1018 [2 per cell]
13 H 0.3505 0.3751 0.9947 [2 per cell]
14 H 0.3608 0.9810 0.9660 [2 per cell]
15 O 0.0237 0.2532 0.8982 [2 per cell]
16 O 0.0799 0.7109 0.5634 [2 per cell]
17 O 0.1111 0.8546 0.8127 [2 per cell]
18 O 0.1735 0.2854 0.6201 [2 per cell]
19 O 0.1928 0.9600 0.3824 [2 per cell]
20 O 0.2132 0.3769 0.0522 [2 per cell]
21 O 0.2401 0.4375 0.3259 [2 per cell]
22 O 0.2707 0.9844 0.0601 [2 per cell]
23 O 0.3625 0.8604 0.5768 [2 per cell]
24 O 0.3808 0.5900 0.7467 [2 per cell]
25 O 0.4141 0.6520 0.1370 [2 per cell]
26 O 0.4193 0.6570 0.3916 [2 per cell]
27 O 0.4761 0.8780 0.7913 [2 per cell]

Largest 10 diffraction maxima, sorted by position, 2θ from 10° to 90°:
hkl	d [Å]	Position (°2θ)	I_rel
0 1 1	6.093	14.54	87
0 1 -1	5.793	15.30	92
1 1 0	5.568	15.92	65
0 0 2	4.818	18.41	50
0 2 -1	3.450	25.83	71
2 1 0	3.319	26.86	93
2 1 2	3.169	28.16	100
0 1 -3	2.901	30.82	76
0 2 3	2.511	35.76	46
2 2 3	2.422	37.11	43